(1)
This entry pairs a crystal structure of Ce8Os3SI4 with its calculated powder diffraction line list. Radiation: Cu Kα (λ = 1.5418 Å). Structure: DFT lattice parameters and positions (PBE).

Most intense lines, 15 to 90 degrees two-theta, sorted by position:
d = 3.068 Å, intensity 100; d = 2.457 Å, intensity 12; d = 2.278 Å, intensity 28; d = 2.075 Å, intensity 38; d = 1.840 Å, intensity 8; d = 1.719 Å, intensity 18; d = 1.534 Å, intensity 8; d = 1.324 Å, intensity 15

Cell: 9.202 9.202 9.202 Å, 53.62 53.62 53.62°
Positions (direct):
Ce 0.222 0.733 0.733
Ce 0.228 0.228 0.228
Ce 0.267 0.267 0.778
Ce 0.267 0.778 0.267
Ce 0.733 0.222 0.733
Ce 0.733 0.733 0.222
Ce 0.772 0.772 0.772
Ce 0.778 0.267 0.267
Os 0.000 0.000 0.500
Os 0.000 0.500 0.000
Os 0.500 0.000 0.000
S 0.500 0.500 0.500
I 0.000 0.000 0.000
I 0.000 0.500 0.500
I 0.500 0.000 0.500
I 0.500 0.500 0.000



(2)
This entry pairs a crystal structure of CePI with its calculated powder diffraction line list. Radiation: Cu Kα (λ = 1.5418 Å). Structure: DFT lattice parameters and positions (PBE).

Most intense lines, 15 to 90 degrees two-theta, sorted by position:
d = 3.739 Å, intensity 34; d = 3.708 Å, intensity 75; d = 3.195 Å, intensity 44; d = 3.007 Å, intensity 100; d = 2.381 Å, intensity 41; d = 2.292 Å, intensity 53; d = 2.069 Å, intensity 19; d = 1.807 Å, intensity 20

Cell: 8.836 4.138 11.167 Å, 90.00 98.67 90.00°
Positions (direct):
Ce 0.138 0.000 0.141
Ce 0.362 0.500 0.859
Ce 0.638 0.500 0.141
Ce 0.862 0.000 0.859
P 0.081 0.500 0.938
P 0.419 0.000 0.062
P 0.581 0.000 0.938
P 0.919 0.500 0.062
I 0.171 0.000 0.673
I 0.329 0.500 0.327
I 0.671 0.500 0.673
I 0.829 0.000 0.327



(3)
This entry pairs a crystal structure of Ce3PI3 with its calculated powder diffraction line list. Radiation: Cu Kα (λ = 1.5418 Å). Structure: DFT lattice parameters and positions (PBE).

Most intense lines, 15 to 90 degrees two-theta, sorted by position:
d = 3.079 Å, intensity 100; d = 2.946 Å, intensity 9; d = 2.245 Å, intensity 10; d = 2.188 Å, intensity 22; d = 2.169 Å, intensity 22; d = 2.111 Å, intensity 13; d = 1.742 Å, intensity 13; d = 1.538 Å, intensity 8

Cell: 8.982 4.222 12.340 Å, 90.00 90.73 90.00°
Positions (direct):
Ce 0.096 0.250 0.387
Ce 0.119 0.250 0.843
Ce 0.327 0.750 0.619
Ce 0.673 0.250 0.381
Ce 0.881 0.750 0.157
Ce 0.904 0.750 0.613
P 0.117 0.250 0.617
P 0.883 0.750 0.383
I 0.147 0.250 0.120
I 0.382 0.750 0.360
I 0.382 0.750 0.876
I 0.618 0.250 0.124
I 0.618 0.250 0.640
I 0.853 0.750 0.880



(4)
This entry pairs a crystal structure of Ce3PI3 with its calculated powder diffraction line list. Radiation: Cu Kα (λ = 1.5418 Å). Structure: DFT lattice parameters and positions (PBE).

Most intense lines, 15 to 90 degrees two-theta, sorted by position:
d = 3.277 Å, intensity 40; d = 3.065 Å, intensity 100; d = 2.614 Å, intensity 24; d = 2.167 Å, intensity 68; d = 1.770 Å, intensity 22; d = 1.668 Å, intensity 19; d = 1.371 Å, intensity 23; d = 1.251 Å, intensity 16

Cell: 10.617 10.617 10.617 Å, 109.47 109.47 109.47°
Positions (direct):
Ce 0.018 0.036 0.268
Ce 0.018 0.482 0.750
Ce 0.036 0.268 0.018
Ce 0.232 0.268 0.750
Ce 0.232 0.464 0.482
Ce 0.268 0.018 0.036
Ce 0.268 0.750 0.232
Ce 0.464 0.482 0.232
Ce 0.482 0.232 0.464
Ce 0.482 0.750 0.018
Ce 0.750 0.018 0.482
Ce 0.750 0.232 0.268
P 0.000 0.250 0.500
P 0.250 0.250 0.250
P 0.250 0.500 0.000
P 0.500 0.000 0.250
I 0.250 0.760 0.740
I 0.250 0.990 0.510
I 0.510 0.250 0.990
I 0.510 0.760 0.520
I 0.520 0.510 0.760
I 0.740 0.250 0.760
I 0.740 0.990 0.980
I 0.760 0.520 0.510
I 0.760 0.740 0.250
I 0.980 0.740 0.990
I 0.990 0.510 0.250
I 0.990 0.980 0.740



(5)
This entry pairs a crystal structure of CePm2I6 with its calculated powder diffraction line list. Radiation: Cu Kα (λ = 1.5418 Å). Structure: DFT lattice parameters and positions (PBE).

Most intense lines, 15 to 90 degrees two-theta, sorted by position:
d = 3.424 Å, intensity 100; d = 2.655 Å, intensity 74; d = 2.240 Å, intensity 48; d = 2.058 Å, intensity 23; d = 1.874 Å, intensity 17; d = 1.712 Å, intensity 23; d = 1.413 Å, intensity 22; d = 1.360 Å, intensity 19

Cell: 8.549 8.549 8.549 Å, 53.98 53.98 53.98°
Positions (direct):
Ce 0.000 0.000 0.000
Pm 0.168 0.168 0.168
Pm 0.331 0.331 0.331
I 0.083 0.425 0.748
I 0.265 0.904 0.578
I 0.425 0.748 0.083
I 0.578 0.265 0.904
I 0.748 0.083 0.425
I 0.904 0.578 0.265



(6)
This entry pairs a crystal structure of CePmI4 with its calculated powder diffraction line list. Radiation: Cu Kα (λ = 1.5418 Å). Structure: DFT lattice parameters and positions (PBE).

Most intense lines, 15 to 90 degrees two-theta, sorted by position:
d = 3.741 Å, intensity 26; d = 3.102 Å, intensity 100; d = 2.201 Å, intensity 13; d = 2.193 Å, intensity 49; d = 2.188 Å, intensity 12; d = 1.794 Å, intensity 13; d = 1.787 Å, intensity 13; d = 1.387 Å, intensity 21

Cell: 8.771 8.771 8.771 Å, 120.16 119.75 90.08°
Positions (direct):
Ce 0.000 0.000 0.000
Ce 0.500 0.000 0.500
Pm 0.500 0.000 0.000
Pm 0.500 0.500 0.500
I 0.229 0.741 0.488
I 0.244 0.262 0.517
I 0.244 0.727 0.983
I 0.248 0.259 0.988
I 0.752 0.741 0.012
I 0.756 0.273 0.017
I 0.756 0.738 0.483
I 0.771 0.259 0.512



(7)
This entry pairs a crystal structure of Ce2PmI8 with its calculated powder diffraction line list. Radiation: Cu Kα (λ = 1.5418 Å). Structure: DFT lattice parameters and positions (PBE).

Most intense lines, 15 to 90 degrees two-theta, sorted by position:
d = 5.764 Å, intensity 56; d = 5.312 Å, intensity 68; d = 4.701 Å, intensity 46; d = 3.872 Å, intensity 100; d = 3.281 Å, intensity 68; d = 3.127 Å, intensity 53; d = 2.882 Å, intensity 45; d = 2.481 Å, intensity 85

Cell: 9.967 9.967 6.570 Å, 92.24 92.24 70.66°
Positions (direct):
Ce 0.207 0.207 0.247
Ce 0.793 0.793 0.753
Pm 0.000 0.000 0.500
I 0.120 0.719 0.747
I 0.178 0.178 0.742
I 0.281 0.880 0.253
I 0.388 0.388 0.240
I 0.612 0.612 0.760
I 0.719 0.120 0.747
I 0.822 0.822 0.258
I 0.880 0.281 0.253



(8)
This entry pairs a crystal structure of Ce2Pm2I7 with its calculated powder diffraction line list. Radiation: Cu Kα (λ = 1.5418 Å). Structure: DFT lattice parameters and positions (PBE).

Most intense lines, 15 to 90 degrees two-theta, sorted by position:
d = 5.698 Å, intensity 77; d = 5.225 Å, intensity 95; d = 3.656 Å, intensity 56; d = 3.057 Å, intensity 76; d = 2.912 Å, intensity 100; d = 2.828 Å, intensity 70; d = 2.613 Å, intensity 75; d = 2.563 Å, intensity 79

Cell: 8.207 8.207 8.275 Å, 90.93 90.93 110.42°
Positions (direct):
Ce 0.141 0.859 0.000
Ce 0.859 0.141 0.000
Pm 0.191 0.191 0.359
Pm 0.809 0.809 0.641
I 0.075 0.481 0.222
I 0.138 0.138 0.735
I 0.481 0.075 0.222
I 0.500 0.500 0.500
I 0.519 0.925 0.778
I 0.862 0.862 0.265
I 0.925 0.519 0.778